Starting from a cell relaxed with GGA+U, the powder diffractogram of Sr2VO4 was computed for CuKα.
Intensities are scaled so that the largest is 100.

Most intense lines, 2θ = 15–90°, sorted by position:
two_theta, I/Imax
31.22, 100
32.98, 67
43.56, 27
47.33, 38
54.41, 20
57.79, 35

Crystal structure
```
Sr2VO4
1.0
-1.9207 1.9207 6.4523
1.9207 -1.9207 6.4523
1.9207 1.9207 -6.4523
Sr V O
2 1 4
Direct
0.1481 0.1481 0.0000 Sr
0.8519 0.8519 0.0000 Sr
0.5000 0.5000 0.0000 V
0.0000 0.5000 0.5000 O
0.3409 0.3409 0.0000 O
0.5000 0.0000 0.5000 O
0.6591 0.6591 0.0000 O
```